(1)
For CoBi3, a DFT-relaxed cell (GGA-PBE, OQMD) gives the calculated XRD peak list in this record (CuKα).

Structural model:
Cell lengths 8.8785, 4.0974, 11.6620 Å; angles 90.00, 90.00, 90.00 degrees
Sites, in units of the cell vectors:
Co  0.0913  0.2500  0.0209
Co  0.4087  0.7500  0.5209
Co  0.5913  0.2500  0.4791
Co  0.9087  0.7500  0.9791
Bi  0.0893  0.7500  0.1745
Bi  0.1191  0.7500  0.5924
Bi  0.1997  0.7500  0.8952
Bi  0.3003  0.2500  0.3952
Bi  0.3809  0.2500  0.0924
Bi  0.4107  0.2500  0.6745
Bi  0.5893  0.7500  0.3255
Bi  0.6191  0.7500  0.9076
Bi  0.6997  0.7500  0.6048
Bi  0.8003  0.2500  0.1048
Bi  0.8809  0.2500  0.4076
Bi  0.9107  0.2500  0.8255

Largest 10 diffraction maxima, by angle, 2θ = 5–70°:
Position (°2θ)	intensity
28.46	45
29.67	100
30.62	96
31.73	81
33.97	68
43.19	45
44.21	39
54.72	29
56.90	32
58.85	39

=====

(2)
For PrFeSb2, a DFT-relaxed cell (GGA-PBE, OQMD) gives the calculated XRD peak list in this record (CuKα).

Structural model:
Cell lengths 4.3571, 4.3571, 10.0237 Å; angles 90.00, 90.00, 90.00 degrees
Sites, in units of the cell vectors:
Pr  0.2500  0.2500  0.2419
Pr  0.7500  0.7500  0.7581
Fe  0.2500  0.7500  0.0000
Fe  0.7500  0.2500  0.0000
Sb  0.2500  0.2500  0.8687
Sb  0.2500  0.7500  0.5000
Sb  0.7500  0.2500  0.5000
Sb  0.7500  0.7500  0.1313

Largest 10 diffraction maxima, by angle, 2θ = 5–70°:
Position (°2θ)	intensity
26.68	14
27.12	19
30.35	28
33.81	43
34.16	100
41.45	52
50.09	17
54.52	22
60.06	17
66.95	19

=====

(3)
For Sm4InFe2Ge4, a DFT-relaxed cell (GGA-PBE, OQMD) gives the calculated XRD peak list in this record (CuKα).

Structural model:
Cell lengths 8.1589, 8.1589, 7.1433 Å; angles 106.48, 106.48, 30.41 degrees
Sites, in units of the cell vectors:
Sm  0.0907  0.0907  0.3864
Sm  0.1525  0.1525  0.9423
Sm  0.8475  0.8475  0.0577
Sm  0.9093  0.9093  0.6136
In  0.5000  0.5000  0.0000
Fe  0.2808  0.2808  0.3748
Fe  0.7192  0.7192  0.6252
Ge  0.2877  0.2877  0.7182
Ge  0.4306  0.4306  0.3433
Ge  0.5694  0.5694  0.6567
Ge  0.7123  0.7123  0.2818

Largest 10 diffraction maxima, by angle, 2θ = 5–70°:
Position (°2θ)	intensity
27.39	20
32.66	75
34.25	100
35.48	32
35.66	17
36.49	25
37.75	17
39.60	20
42.23	38
55.48	21

=====

(4)
For PrSnPb, a DFT-relaxed cell (GGA-PBE, OQMD) gives the calculated XRD peak list in this record (CuKα).

Structural model:
Cell lengths 5.3012, 5.3012, 5.3012 Å; angles 60.00, 60.00, 60.00 degrees
Sites, in units of the cell vectors:
Pr  0.0000  0.0000  0.0000
Sn  0.7500  0.7500  0.7500
Pb  0.5000  0.5000  0.5000

Largest 10 diffraction maxima, by angle, 2θ = 5–70°:
Position (°2θ)	intensity
20.52	19
23.74	28
33.82	100
39.88	11
41.74	9
48.58	18
53.26	5
54.76	12
60.50	38
64.60	4

=====

(5)
For KHf3S5, a DFT-relaxed cell (GGA-PBE, OQMD) gives the calculated XRD peak list in this record (CuKα).

Structural model:
Cell lengths 6.0224, 6.0224, 7.1566 Å; angles 90.00, 90.00, 120.00 degrees
Sites, in units of the cell vectors:
K  0.0000  0.0000  0.0000
Hf  0.0000  0.5000  0.5000
Hf  0.5000  0.0000  0.5000
Hf  0.5000  0.5000  0.5000
S  0.0000  0.0000  0.5000
S  0.3333  0.6667  0.2424
S  0.3333  0.6667  0.7576
S  0.6667  0.3333  0.2424
S  0.6667  0.3333  0.7576

Largest 10 diffraction maxima, by angle, 2θ = 5–70°:
Position (°2θ)	intensity
12.37	100
17.00	16
21.08	22
24.88	17
34.39	29
36.68	46
42.91	48
51.95	17
61.60	10
63.05	20

=====

(6)
For AlFe2Sn, a DFT-relaxed cell (GGA-PBE, OQMD) gives the calculated XRD peak list in this record (CuKα).

Structural model:
Cell lengths 5.9782, 5.9782, 5.9782 Å; angles 90.00, 90.00, 90.00 degrees
Sites, in units of the cell vectors:
Al  0.0000  0.0000  0.0000
Al  0.0000  0.0000  0.5000
Al  0.0000  0.5000  0.0000
Al  0.5000  0.0000  0.0000
Fe  0.2426  0.2426  0.2426
Fe  0.2426  0.2426  0.7574
Fe  0.2426  0.7574  0.2426
Fe  0.2426  0.7574  0.7574
Fe  0.7574  0.2426  0.2426
Fe  0.7574  0.2426  0.7574
Fe  0.7574  0.7574  0.2426
Fe  0.7574  0.7574  0.7574
Sn  0.0000  0.5000  0.5000
Sn  0.5000  0.0000  0.5000
Sn  0.5000  0.5000  0.0000
Sn  0.5000  0.5000  0.5000

Largest 10 diffraction maxima, by angle, 2θ = 5–70°:
Position (°2θ)	intensity
14.82	16
25.81	8
29.89	2
33.52	16
42.78	100
45.52	7
50.64	4
62.10	16
64.24	5
68.40	2

=====

(7)
For LiB4Pd, a DFT-relaxed cell (GGA-PBE, OQMD) gives the calculated XRD peak list in this record (CuKα).

Structural model:
Cell lengths 4.5571, 4.5571, 4.5571 Å; angles 141.76, 110.51, 82.20 degrees
Sites, in units of the cell vectors:
Li  0.0000  0.0000  0.0000
B  0.0770  0.7391  0.3379
B  0.4012  0.7391  0.6621
B  0.5988  0.2609  0.3379
B  0.9230  0.2609  0.6621
Pd  0.5000  0.5000  0.0000

Largest 10 diffraction maxima, by angle, 2θ = 5–70°:
Position (°2θ)	intensity
21.45	100
25.95	18
32.71	37
34.53	14
34.66	26
43.18	17
43.70	23
43.80	48
48.30	23
65.18	13

=====

(8)
For DyEr3Tl2N2, a DFT-relaxed cell (GGA-PBE, OQMD) gives the calculated XRD peak list in this record (CuKα).

Structural model:
Cell lengths 3.5040, 3.5040, 15.6345 Å; angles 90.00, 90.00, 120.00 degrees
Sites, in units of the cell vectors:
Dy  0.0000  0.0000  0.0000
Er  0.0000  0.0000  0.6676
Er  0.6667  0.3333  0.1686
Er  0.6667  0.3333  0.5004
Tl  0.0000  0.0000  0.3347
Tl  0.6667  0.3333  0.8331
N  0.3333  0.6667  0.0865
N  0.3333  0.6667  0.5840

Largest 10 diffraction maxima, by angle, 2θ = 5–70°:
Position (°2θ)	intensity
29.43	22
31.63	1
34.19	100
34.42	21
45.90	16
52.21	21
61.07	3
61.51	19
63.90	17
64.04	21